Starting from a crystal structure in Alexandria, relaxed with GGA-PBE, the powder X-ray diffraction pattern of Mg4Bi3N was computed for Cu Kα X-rays.
Kinematic intensities with the Lorentz-polarization factor, no thermal factor.

Structural model:
abc: 8.055 8.055 8.055
angles: 137.99 137.99 60.92
Sites, in units of the cell vectors:
Mg 0.223 0.223 0.623
Mg 0.400 0.777 0.000
Mg 0.600 0.600 0.377
Mg 0.777 0.400 0.000
Bi 0.000 0.000 0.000
Bi 0.250 0.750 0.500
Bi 0.750 0.250 0.500
N 0.500 0.500 0.000

Principal peaks in the range 10° ≤ 2θ ≤ 90°, in order of rising 2θ:
2theta	I_rel
16.6	15.1
25.3	100.0
25.7	18.8
31.0	22.7
40.6	32.4
45.0	20.3
51.8	27.1
65.1	16.1

***

Starting from a crystal structure in Alexandria, relaxed with GGA-PBE, the powder X-ray diffraction pattern of ThMgBi2N was computed for Cu Kα X-rays.
Kinematic intensities with the Lorentz-polarization factor, no thermal factor.

Structural model:
abc: 4.004 4.004 17.871
angles: 90.00 90.00 90.00
Sites, in units of the cell vectors:
Th 0.250 0.250 0.066
Th 0.750 0.750 0.934
Mg 0.250 0.250 0.637
Mg 0.750 0.750 0.363
Bi 0.250 0.250 0.442
Bi 0.250 0.250 0.799
Bi 0.750 0.750 0.201
Bi 0.750 0.750 0.558
N 0.250 0.750 0.000
N 0.750 0.250 0.000

Principal peaks in the range 10° ≤ 2θ ≤ 90°, in order of rising 2θ:
2theta	I_rel
26.8	100.0
30.0	15.8
31.6	54.9
33.6	38.4
45.3	22.5
52.2	22.4
53.4	31.5
57.6	17.0

***

Starting from a crystal structure in Alexandria, relaxed with GGA-PBE, the powder X-ray diffraction pattern of NaMg6BiO8 was computed for Cu Kα X-rays.
Kinematic intensities with the Lorentz-polarization factor, no thermal factor.

Structural model:
abc: 4.476 4.476 8.929
angles: 90.00 90.00 90.00
Sites, in units of the cell vectors:
Na 0.000 0.000 0.000
Mg 0.000 0.000 0.500
Mg 0.000 0.500 0.266
Mg 0.000 0.500 0.734
Mg 0.500 0.000 0.266
Mg 0.500 0.000 0.734
Mg 0.500 0.500 0.500
Bi 0.500 0.500 0.000
O 0.000 0.000 0.270
O 0.000 0.000 0.730
O 0.000 0.500 0.000
O 0.000 0.500 0.500
O 0.500 0.000 0.000
O 0.500 0.000 0.500
O 0.500 0.500 0.269
O 0.500 0.500 0.731

Principal peaks in the range 10° ≤ 2θ ≤ 90°, in order of rising 2θ:
2theta	I_rel
19.9	97.5
22.2	100.0
28.2	83.8
30.0	68.8
34.7	63.9
40.3	88.0
45.3	49.2
58.4	78.3

***

Starting from a crystal structure in Alexandria, relaxed with GGA-PBE, the powder X-ray diffraction pattern of Mg2Nb2BiO8 was computed for Cu Kα X-rays.
Kinematic intensities with the Lorentz-polarization factor, no thermal factor.

Structural model:
abc: 10.696 10.696 5.343
angles: 92.21 92.21 32.76
Sites, in units of the cell vectors:
Mg 0.086 0.374 0.240
Mg 0.374 0.086 0.740
Mg 0.626 0.914 0.260
Mg 0.914 0.626 0.760
Nb 0.201 0.550 0.280
Nb 0.450 0.799 0.220
Nb 0.550 0.201 0.780
Nb 0.799 0.450 0.720
Bi 0.206 0.794 0.750
Bi 0.794 0.206 0.250
O 0.039 0.835 0.394
O 0.055 0.337 0.876
O 0.165 0.961 0.106
O 0.203 0.419 0.557
O 0.337 0.055 0.376
O 0.351 0.499 0.985
O 0.419 0.203 0.057
O 0.499 0.351 0.485
O 0.501 0.649 0.515
O 0.581 0.797 0.943
O 0.649 0.501 0.015
O 0.663 0.945 0.624
O 0.797 0.581 0.443
O 0.835 0.039 0.894
O 0.945 0.663 0.124
O 0.961 0.165 0.606

Principal peaks in the range 10° ≤ 2θ ≤ 90°, in order of rising 2θ:
2theta	I_rel
25.5	100.0
26.1	74.4
30.8	54.5
31.7	67.4
33.6	30.4
34.1	27.9
35.0	27.5
46.5	27.5

***

Starting from a crystal structure in Alexandria, relaxed with GGA-PBE, the powder X-ray diffraction pattern of Nd4MgBi2 was computed for Cu Kα X-rays.
Kinematic intensities with the Lorentz-polarization factor, no thermal factor.

Structural model:
abc: 6.379 6.853 10.655
angles: 90.00 104.32 90.00
Sites, in units of the cell vectors:
Nd 0.028 0.016 0.259
Nd 0.028 0.484 0.259
Nd 0.349 0.750 0.526
Nd 0.429 0.750 0.145
Nd 0.571 0.250 0.855
Nd 0.651 0.250 0.474
Nd 0.972 0.516 0.741
Nd 0.972 0.984 0.741
Mg 0.449 0.750 0.823
Mg 0.551 0.250 0.177
Bi 0.135 0.250 0.003
Bi 0.206 0.250 0.554
Bi 0.794 0.750 0.446
Bi 0.865 0.750 0.997

Principal peaks in the range 10° ≤ 2θ ≤ 90°, in order of rising 2θ:
2theta	I_rel
14.3	32.1
28.3	34.8
29.8	58.3
31.3	98.7
31.8	60.9
32.6	48.6
32.7	100.0
34.2	40.6

***

Starting from a crystal structure in Alexandria, relaxed with GGA-PBE, the powder X-ray diffraction pattern of NdMg3Bi3 was computed for Cu Kα X-rays.
Kinematic intensities with the Lorentz-polarization factor, no thermal factor.

Structural model:
abc: 11.733 11.733 4.492
angles: 90.00 90.00 120.00
Sites, in units of the cell vectors:
Nd 0.333 0.667 0.250
Nd 0.667 0.333 0.750
Mg 0.043 0.625 0.750
Mg 0.375 0.418 0.750
Mg 0.418 0.043 0.250
Mg 0.582 0.957 0.750
Mg 0.625 0.582 0.250
Mg 0.957 0.375 0.250
Bi 0.132 0.427 0.750
Bi 0.296 0.868 0.750
Bi 0.427 0.296 0.250
Bi 0.573 0.704 0.750
Bi 0.704 0.132 0.250
Bi 0.868 0.573 0.250

Principal peaks in the range 10° ≤ 2θ ≤ 90°, in order of rising 2θ:
2theta	I_rel
23.2	100.0
25.0	34.6
26.5	73.9
30.6	68.6
37.7	34.2
40.7	47.3
46.9	32.6
58.5	33.2

***

Starting from a crystal structure in Alexandria, relaxed with GGA-PBE, the powder X-ray diffraction pattern of Mg4NiBi2 was computed for Cu Kα X-rays.
Kinematic intensities with the Lorentz-polarization factor, no thermal factor.

Structural model:
abc: 8.279 8.279 8.279
angles: 95.50 95.50 143.93
Sites, in units of the cell vectors:
Mg 0.086 0.808 0.894
Mg 0.192 0.086 0.278
Mg 0.308 0.586 0.894
Mg 0.414 0.308 0.722
Mg 0.586 0.692 0.278
Mg 0.692 0.414 0.106
Mg 0.808 0.914 0.722
Mg 0.914 0.192 0.106
Ni 0.250 0.250 0.000
Ni 0.750 0.750 0.000
Bi 0.127 0.373 0.500
Bi 0.373 0.873 0.245
Bi 0.627 0.127 0.755
Bi 0.873 0.627 0.500

Principal peaks in the range 10° ≤ 2θ ≤ 90°, in order of rising 2θ:
2theta	I_rel
11.2	19.0
24.9	100.0
25.3	37.2
32.2	24.8
33.9	71.0
46.1	15.1
47.4	20.8
48.3	29.9

***

Starting from a crystal structure in Alexandria, relaxed with GGA-PBE, the powder X-ray diffraction pattern of MgNiBi2Os was computed for Cu Kα X-rays.
Kinematic intensities with the Lorentz-polarization factor, no thermal factor.

Structural model:
abc: 4.966 4.966 4.574
angles: 90.00 90.00 90.00
Sites, in units of the cell vectors:
Mg 0.000 0.000 0.000
Ni 0.000 0.000 0.500
Bi 0.000 0.500 0.500
Bi 0.500 0.000 0.500
Os 0.500 0.500 0.000

Principal peaks in the range 10° ≤ 2θ ≤ 90°, in order of rising 2θ:
2theta	I_rel
19.4	19.0
26.5	26.7
32.1	100.0
36.2	55.8
39.4	22.1
52.1	19.9
54.6	34.7
62.5	31.3

***

Starting from a crystal structure in Alexandria, relaxed with GGA-PBE, the powder X-ray diffraction pattern of MgNpBi2O8 was computed for Cu Kα X-rays.
Kinematic intensities with the Lorentz-polarization factor, no thermal factor.

Structural model:
abc: 5.066 5.066 6.915
angles: 90.00 90.00 91.23
Sites, in units of the cell vectors:
Mg 0.000 0.000 0.000
Np 0.000 0.000 0.500
Bi 0.500 0.500 0.237
Bi 0.500 0.500 0.763
O 0.179 0.821 0.272
O 0.179 0.821 0.728
O 0.289 0.289 0.500
O 0.292 0.292 0.000
O 0.708 0.708 0.000
O 0.711 0.711 0.500
O 0.821 0.179 0.272
O 0.821 0.179 0.728

Principal peaks in the range 10° ≤ 2θ ≤ 90°, in order of rising 2θ:
2theta	I_rel
21.8	37.2
24.6	57.9
25.1	52.1
31.3	100.0
35.4	30.8
47.7	41.5
48.3	37.3
61.1	22.7

***

Starting from a crystal structure in Alexandria, relaxed with GGA-PBE, the powder X-ray diffraction pattern of Mg3Bi2O7 was computed for Cu Kα X-rays.
Kinematic intensities with the Lorentz-polarization factor, no thermal factor.

Structural model:
abc: 10.360 10.360 5.594
angles: 90.00 90.00 30.94
Sites, in units of the cell vectors:
Mg 0.037 0.552 0.575
Mg 0.211 0.789 0.500
Mg 0.448 0.963 0.575
Mg 0.552 0.037 0.075
Mg 0.789 0.211 0.000
Mg 0.963 0.448 0.075
Bi 0.146 0.632 0.016
Bi 0.368 0.854 0.016
Bi 0.632 0.146 0.516
Bi 0.854 0.368 0.516
O 0.120 0.205 0.797
O 0.136 0.864 0.132
O 0.203 0.382 0.928
O 0.205 0.120 0.297
O 0.281 0.554 0.634
O 0.382 0.203 0.428
O 0.446 0.719 0.634
O 0.554 0.281 0.134
O 0.618 0.797 0.928
O 0.719 0.446 0.134
O 0.795 0.880 0.797
O 0.797 0.618 0.428
O 0.864 0.136 0.632
O 0.880 0.795 0.297

Principal peaks in the range 10° ≤ 2θ ≤ 90°, in order of rising 2θ:
2theta	I_rel
17.8	50.4
23.1	71.7
26.3	26.9
32.0	100.0
32.4	21.0
46.2	19.4
47.0	22.7
57.5	19.8

***

Starting from a crystal structure in Alexandria, relaxed with GGA-PBE, the powder X-ray diffraction pattern of MgBi2O6 was computed for Cu Kα X-rays.
Kinematic intensities with the Lorentz-polarization factor, no thermal factor.

Structural model:
abc: 7.970 5.817 5.453
angles: 90.00 90.00 90.00
Sites, in units of the cell vectors:
Mg 0.000 0.173 0.000
Mg 0.500 0.827 0.500
Bi 0.249 0.739 0.971
Bi 0.251 0.261 0.471
Bi 0.749 0.261 0.471
Bi 0.751 0.739 0.971
O 0.000 0.290 0.637
O 0.000 0.829 0.848
O 0.167 0.984 0.243
O 0.180 0.420 0.125
O 0.320 0.580 0.625
O 0.333 0.016 0.743
O 0.500 0.171 0.348
O 0.500 0.710 0.137
O 0.667 0.016 0.743
O 0.680 0.580 0.625
O 0.820 0.420 0.125
O 0.833 0.984 0.243

Principal peaks in the range 10° ≤ 2θ ≤ 90°, in order of rising 2θ:
2theta	I_rel
22.3	100.0
30.7	15.3
31.8	60.0
40.1	13.6
45.6	20.6
51.3	33.2
55.3	13.2
58.0	14.4

***

Starting from a crystal structure in Alexandria, relaxed with GGA-PBE, the powder X-ray diffraction pattern of Mg2Bi2O5 was computed for Cu Kα X-rays.
Kinematic intensities with the Lorentz-polarization factor, no thermal factor.

Structural model:
abc: 6.531 10.716 4.062
angles: 90.00 90.00 90.00
Sites, in units of the cell vectors:
Mg 0.132 0.098 0.000
Mg 0.368 0.598 0.000
Mg 0.632 0.402 0.000
Mg 0.868 0.902 0.000
Bi 0.198 0.378 0.500
Bi 0.302 0.878 0.500
Bi 0.698 0.122 0.500
Bi 0.802 0.622 0.500
O 0.000 0.000 0.500
O 0.178 0.899 0.000
O 0.222 0.686 0.500
O 0.278 0.186 0.500
O 0.322 0.399 0.000
O 0.500 0.500 0.500
O 0.678 0.601 0.000
O 0.722 0.814 0.500
O 0.778 0.314 0.500
O 0.822 0.101 0.000

Principal peaks in the range 10° ≤ 2θ ≤ 90°, in order of rising 2θ:
2theta	I_rel
21.5	100.0
21.9	52.9
27.3	29.9
30.8	89.4
33.4	28.2
35.3	23.0
43.7	23.7
50.0	26.8